Structure and computed powder diffraction line list of Rb2TlBiSe4 (a GGA-PBE-relaxed structure; Cu Kα).
Peak positions follow from Bragg's law for the DFT cell and can differ from measured ones.

Peak list (10 most intense, 10° ≤ 2θ ≤ 90°, low angle first)
14.31°, I 30; 14.94°, I 37; 21.98°, I 14; 23.39°, I 39; 25.69°, I 100; 28.74°, I 43; 35.89°, I 22; 37.90°, I 28; 39.95°, I 35; 47.82°, I 15

Structural model:
```
data_Rb2TlBiSe4
_symmetry_space_group_name_H-M 'P 1'
_symmetry_Int_Tables_number 1
_symmetry_space_group_name_Hall 'P 1'
_cell_length_a 6.951
_cell_length_b 6.951
_cell_length_c 7.709
_cell_angle_alpha 115.30
_cell_angle_beta 115.30
_cell_angle_gamma 87.59
loop_
_atom_site_label
_atom_site_type_symbol
_atom_site_fract_x
_atom_site_fract_y
_atom_site_fract_z
Rb1 Rb 0.000 0.000 0.000
Rb2 Rb 0.726 0.274 0.500
Tl1 Tl 0.175 0.825 0.500
Bi1 Bi 0.466 0.534 0.000
Se1 Se 0.125 0.536 0.093
Se2 Se 0.253 0.223 0.545
Se3 Se 0.464 0.875 0.907
Se4 Se 0.777 0.747 0.455
```


Structure and computed powder diffraction line list of Rb3Sm3BiTe8 (a GGA-PBE-relaxed structure; Cu Kα).
Peak positions follow from Bragg's law for the DFT cell and can differ from measured ones.

Peak list (10 most intense, 10° ≤ 2θ ≤ 90°, low angle first)
10.04°, I 42; 26.48°, I 100; 32.97°, I 18; 35.56°, I 36; 39.92°, I 36; 44.23°, I 12; 48.59°, I 13; 54.52°, I 10; 58.57°, I 7; 64.54°, I 11

Structural model:
```
data_Rb3Sm3BiTe8
_symmetry_space_group_name_H-M 'P 1'
_symmetry_Int_Tables_number 1
_symmetry_space_group_name_Hall 'P 1'
_cell_length_a 9.041
_cell_length_b 9.041
_cell_length_c 10.252
_cell_angle_alpha 116.29
_cell_angle_beta 116.29
_cell_angle_gamma 59.84
loop_
_atom_site_label
_atom_site_type_symbol
_atom_site_fract_x
_atom_site_fract_y
_atom_site_fract_z
Rb1 Rb 0.000 0.000 0.000
Rb2 Rb 0.000 0.500 0.000
Rb3 Rb 0.500 0.000 0.000
Sm1 Sm 0.000 0.500 0.500
Sm2 Sm 0.500 0.000 0.500
Sm3 Sm 0.500 0.500 0.500
Bi1 Bi 0.000 0.000 0.500
Te1 Te 0.236 0.236 0.702
Te2 Te 0.236 0.730 0.702
Te3 Te 0.265 0.265 0.296
Te4 Te 0.270 0.764 0.298
Te5 Te 0.730 0.236 0.702
Te6 Te 0.735 0.735 0.704
Te7 Te 0.764 0.270 0.298
Te8 Te 0.764 0.764 0.298
```


Structure and computed powder diffraction line list of Rb3Sn4Bi2 (a GGA-PBE-relaxed structure; Cu Kα).
Peak positions follow from Bragg's law for the DFT cell and can differ from measured ones.

Peak list (10 most intense, 10° ≤ 2θ ≤ 90°, low angle first)
12.09°, I 76; 13.72°, I 50; 25.60°, I 100; 26.83°, I 66; 27.59°, I 77; 31.50°, I 53; 31.85°, I 62; 33.08°, I 77; 38.28°, I 74; 47.13°, I 52

Structural model:
```
data_Rb3Sn4Bi2
_symmetry_space_group_name_H-M 'P 1'
_symmetry_Int_Tables_number 1
_symmetry_space_group_name_Hall 'P 1'
_cell_length_a 4.712
_cell_length_b 7.758
_cell_length_c 10.683
_cell_angle_alpha 79.34
_cell_angle_beta 81.03
_cell_angle_gamma 72.56
loop_
_atom_site_label
_atom_site_type_symbol
_atom_site_fract_x
_atom_site_fract_y
_atom_site_fract_z
Rb1 Rb 0.000 0.000 0.000
Rb2 Rb 0.367 0.861 0.358
Rb3 Rb 0.633 0.139 0.642
Sn1 Sn 0.049 0.496 0.348
Sn2 Sn 0.305 0.424 0.931
Sn3 Sn 0.695 0.576 0.069
Sn4 Sn 0.951 0.504 0.652
Bi1 Bi 0.314 0.734 0.713
Bi2 Bi 0.686 0.266 0.287
```


Structure and computed powder diffraction line list of RbSn8Bi2 (a GGA-PBE-relaxed structure; Cu Kα).
Peak positions follow from Bragg's law for the DFT cell and can differ from measured ones.

Peak list (10 most intense, 10° ≤ 2θ ≤ 90°, low angle first)
26.16°, I 36; 29.04°, I 100; 29.93°, I 71; 30.49°, I 60; 33.71°, I 35; 34.28°, I 45; 35.27°, I 87; 38.13°, I 86; 39.14°, I 33; 54.72°, I 35

Structural model:
```
data_RbSn8Bi2
_symmetry_space_group_name_H-M 'P 1'
_symmetry_Int_Tables_number 1
_symmetry_space_group_name_Hall 'P 1'
_cell_length_a 4.735
_cell_length_b 4.735
_cell_length_c 15.752
_cell_angle_alpha 93.45
_cell_angle_beta 93.45
_cell_angle_gamma 89.78
loop_
_atom_site_label
_atom_site_type_symbol
_atom_site_fract_x
_atom_site_fract_y
_atom_site_fract_z
Rb1 Rb 0.000 0.000 0.000
Sn1 Sn 0.042 0.537 0.234
Sn2 Sn 0.108 0.108 0.396
Sn3 Sn 0.463 0.958 0.766
Sn4 Sn 0.480 0.480 0.894
Sn5 Sn 0.520 0.520 0.106
Sn6 Sn 0.537 0.042 0.234
Sn7 Sn 0.892 0.892 0.604
Sn8 Sn 0.958 0.463 0.766
Bi1 Bi 0.364 0.364 0.581
Bi2 Bi 0.636 0.636 0.419
```


Structure and computed powder diffraction line list of Rb3SnBi (a GGA-PBE-relaxed structure; Cu Kα).
Peak positions follow from Bragg's law for the DFT cell and can differ from measured ones.

Peak list (10 most intense, 10° ≤ 2θ ≤ 90°, low angle first)
11.61°, I 67; 12.18°, I 22; 15.00°, I 67; 23.35°, I 27; 24.55°, I 100; 25.81°, I 33; 26.87°, I 29; 30.27°, I 45; 30.80°, I 26; 32.07°, I 46

Structural model:
```
data_Rb3SnBi
_symmetry_space_group_name_H-M 'P 1'
_symmetry_Int_Tables_number 1
_symmetry_space_group_name_Hall 'P 1'
_cell_length_a 8.900
_cell_length_b 8.900
_cell_length_c 9.218
_cell_angle_alpha 119.71
_cell_angle_beta 119.71
_cell_angle_gamma 83.18
loop_
_atom_site_label
_atom_site_type_symbol
_atom_site_fract_x
_atom_site_fract_y
_atom_site_fract_z
Rb1 Rb 0.057 0.057 0.341
Rb2 Rb 0.097 0.468 0.242
Rb3 Rb 0.468 0.097 0.242
Rb4 Rb 0.532 0.903 0.758
Rb5 Rb 0.903 0.532 0.758
Rb6 Rb 0.943 0.943 0.659
Sn1 Sn 0.302 0.302 0.881
Sn2 Sn 0.698 0.698 0.119
Bi1 Bi 0.434 0.434 0.713
Bi2 Bi 0.566 0.566 0.287
```


Structure and computed powder diffraction line list of Rb3Tl7Bi2 (a GGA-PBE-relaxed structure; Cu Kα).
Peak positions follow from Bragg's law for the DFT cell and can differ from measured ones.

Peak list (10 most intense, 10° ≤ 2θ ≤ 90°, low angle first)
12.71°, I 94; 15.19°, I 63; 17.65°, I 62; 26.15°, I 57; 30.65°, I 100; 30.79°, I 62; 32.00°, I 67; 34.22°, I 96; 35.74°, I 98; 36.93°, I 76

Structural model:
```
data_Rb3Tl7Bi2
_symmetry_space_group_name_H-M 'P 1'
_symmetry_Int_Tables_number 1
_symmetry_space_group_name_Hall 'P 1'
_cell_length_a 5.024
_cell_length_b 7.105
_cell_length_c 14.145
_cell_angle_alpha 100.47
_cell_angle_beta 90.11
_cell_angle_gamma 90.24
loop_
_atom_site_label
_atom_site_type_symbol
_atom_site_fract_x
_atom_site_fract_y
_atom_site_fract_z
Rb1 Rb 0.000 0.000 0.000
Rb2 Rb 0.004 0.334 0.622
Rb3 Rb 0.996 0.666 0.378
Tl1 Tl 0.006 0.866 0.728
Tl2 Tl 0.495 0.144 0.417
Tl3 Tl 0.495 0.358 0.199
Tl4 Tl 0.500 0.500 0.000
Tl5 Tl 0.505 0.642 0.801
Tl6 Tl 0.505 0.856 0.583
Tl7 Tl 0.994 0.134 0.272
Bi1 Bi 0.493 0.853 0.205
Bi2 Bi 0.507 0.147 0.795
```


Structure and computed powder diffraction line list of Rb4Tl3Bi2 (a GGA-PBE-relaxed structure; Cu Kα).
Peak positions follow from Bragg's law for the DFT cell and can differ from measured ones.

Peak list (10 most intense, 10° ≤ 2θ ≤ 90°, low angle first)
11.10°, I 63; 15.93°, I 34; 26.35°, I 100; 27.91°, I 33; 28.69°, I 80; 29.90°, I 39; 31.99°, I 47; 33.71°, I 36; 35.75°, I 41; 37.25°, I 28

Structural model:
```
data_Rb4Tl3Bi2
_symmetry_space_group_name_H-M 'P 1'
_symmetry_Int_Tables_number 1
_symmetry_space_group_name_Hall 'P 1'
_cell_length_a 10.944
_cell_length_b 10.944
_cell_length_c 8.309
_cell_angle_alpha 106.00
_cell_angle_beta 106.00
_cell_angle_gamma 26.53
loop_
_atom_site_label
_atom_site_type_symbol
_atom_site_fract_x
_atom_site_fract_y
_atom_site_fract_z
Rb1 Rb 0.064 0.064 0.358
Rb2 Rb 0.267 0.267 0.792
Rb3 Rb 0.733 0.733 0.208
Rb4 Rb 0.936 0.936 0.642
Tl1 Tl 0.398 0.398 0.288
Tl2 Tl 0.500 0.500 0.000
Tl3 Tl 0.602 0.602 0.712
Bi1 Bi 0.114 0.114 0.951
Bi2 Bi 0.886 0.886 0.049
```


Structure and computed powder diffraction line list of RbTlBi3 (a GGA-PBE-relaxed structure; Cu Kα).
Peak positions follow from Bragg's law for the DFT cell and can differ from measured ones.

Peak list (10 most intense, 10° ≤ 2θ ≤ 90°, low angle first)
21.12°, I 47; 23.90°, I 30; 26.77°, I 34; 30.70°, I 100; 34.05°, I 30; 35.21°, I 39; 37.29°, I 29; 38.22°, I 43; 38.49°, I 31; 58.88°, I 31

Structural model:
```
data_RbTlBi3
_symmetry_space_group_name_H-M 'P 1'
_symmetry_Int_Tables_number 1
_symmetry_space_group_name_Hall 'P 1'
_cell_length_a 7.441
_cell_length_b 6.992
_cell_length_c 7.452
_cell_angle_alpha 90.00
_cell_angle_beta 90.07
_cell_angle_gamma 90.00
loop_
_atom_site_label
_atom_site_type_symbol
_atom_site_fract_x
_atom_site_fract_y
_atom_site_fract_z
Rb1 Rb 0.000 0.000 0.000
Rb2 Rb 0.486 0.500 0.500
Tl1 Tl 0.130 0.500 0.838
Tl2 Tl 0.357 0.000 0.338
Bi1 Bi 0.492 0.258 0.985
Bi2 Bi 0.492 0.742 0.985
Bi3 Bi 0.652 0.000 0.656
Bi4 Bi 0.834 0.500 0.156
Bi5 Bi 0.994 0.240 0.485
Bi6 Bi 0.994 0.760 0.485
```


Structure and computed powder diffraction line list of RbTmBi (a GGA-PBE-relaxed structure; Cu Kα).
Peak positions follow from Bragg's law for the DFT cell and can differ from measured ones.

Peak list (10 most intense, 10° ≤ 2θ ≤ 90°, low angle first)
12.32°, I 100; 24.79°, I 45; 27.94°, I 53; 29.47°, I 78; 32.05°, I 44; 38.88°, I 56; 42.17°, I 30; 49.22°, I 30; 49.53°, I 28; 66.78°, I 24

Structural model:
```
data_RbTmBi
_symmetry_space_group_name_H-M 'P 1'
_symmetry_Int_Tables_number 1
_symmetry_space_group_name_Hall 'P 1'
_cell_length_a 7.797
_cell_length_b 7.797
_cell_length_c 7.797
_cell_angle_alpha 148.09
_cell_angle_beta 148.09
_cell_angle_gamma 45.75
loop_
_atom_site_label
_atom_site_type_symbol
_atom_site_fract_x
_atom_site_fract_y
_atom_site_fract_z
Rb1 Rb 0.000 0.000 0.000
Tm1 Tm 0.268 0.268 0.000
Bi1 Bi 0.720 0.720 0.000
```


Structure and computed powder diffraction line list of RbZn3Bi3 (a GGA-PBE-relaxed structure; Cu Kα).
Peak positions follow from Bragg's law for the DFT cell and can differ from measured ones.

Peak list (10 most intense, 10° ≤ 2θ ≤ 90°, low angle first)
17.87°, I 15; 23.91°, I 25; 25.56°, I 100; 30.01°, I 25; 36.33°, I 53; 42.05°, I 44; 43.85°, I 38; 49.86°, I 17; 50.66°, I 14; 56.74°, I 20

Structural model:
```
data_RbZn3Bi3
_symmetry_space_group_name_H-M 'P 1'
_symmetry_Int_Tables_number 1
_symmetry_space_group_name_Hall 'P 1'
_cell_length_a 10.816
_cell_length_b 10.816
_cell_length_c 10.816
_cell_angle_alpha 40.25
_cell_angle_beta 40.25
_cell_angle_gamma 40.25
loop_
_atom_site_label
_atom_site_type_symbol
_atom_site_fract_x
_atom_site_fract_y
_atom_site_fract_z
Rb1 Rb 0.166 0.166 0.166
Rb2 Rb 0.834 0.834 0.834
Zn1 Zn 0.015 0.699 0.358
Zn2 Zn 0.301 0.642 0.985
Zn3 Zn 0.358 0.015 0.699
Zn4 Zn 0.642 0.985 0.301
Zn5 Zn 0.699 0.358 0.015
Zn6 Zn 0.985 0.301 0.642
Bi1 Bi 0.080 0.404 0.726
Bi2 Bi 0.274 0.920 0.596
Bi3 Bi 0.404 0.726 0.080
Bi4 Bi 0.596 0.274 0.920
Bi5 Bi 0.726 0.080 0.404
Bi6 Bi 0.920 0.596 0.274
```


Structure and computed powder diffraction line list of Rb5ZnBi2 (a GGA-PBE-relaxed structure; Cu Kα).
Peak positions follow from Bragg's law for the DFT cell and can differ from measured ones.

Peak list (10 most intense, 10° ≤ 2θ ≤ 90°, low angle first)
15.63°, I 17; 16.13°, I 32; 25.43°, I 59; 27.24°, I 100; 31.70°, I 19; 37.60°, I 21; 42.65°, I 28; 47.05°, I 23; 48.14°, I 21; 49.50°, I 18

Structural model:
```
data_Rb5ZnBi2
_symmetry_space_group_name_H-M 'P 1'
_symmetry_Int_Tables_number 1
_symmetry_space_group_name_Hall 'P 1'
_cell_length_a 6.548
_cell_length_b 6.548
_cell_length_c 22.270
_cell_angle_alpha 90.00
_cell_angle_beta 90.00
_cell_angle_gamma 120.00
loop_
_atom_site_label
_atom_site_type_symbol
_atom_site_fract_x
_atom_site_fract_y
_atom_site_fract_z
Rb1 Rb 0.000 0.000 0.141
Rb2 Rb 0.000 0.000 0.359
Rb3 Rb 0.000 0.000 0.641
Rb4 Rb 0.000 0.000 0.859
Rb5 Rb 0.333 0.667 0.048
Rb6 Rb 0.333 0.667 0.250
Rb7 Rb 0.333 0.667 0.452
Rb8 Rb 0.667 0.333 0.548
Rb9 Rb 0.667 0.333 0.750
Rb10 Rb 0.667 0.333 0.952
Zn1 Zn 0.333 0.667 0.750
Zn2 Zn 0.667 0.333 0.250
Bi1 Bi 0.333 0.667 0.631
Bi2 Bi 0.333 0.667 0.869
Bi3 Bi 0.667 0.333 0.131
Bi4 Bi 0.667 0.333 0.369
```


Structure and computed powder diffraction line list of Rb5Zn2Bi4 (a GGA-PBE-relaxed structure; Cu Kα).
Peak positions follow from Bragg's law for the DFT cell and can differ from measured ones.

Peak list (10 most intense, 10° ≤ 2θ ≤ 90°, low angle first)
11.27°, I 94; 21.69°, I 95; 23.58°, I 83; 27.89°, I 66; 28.11°, I 100; 30.12°, I 74; 33.65°, I 60; 33.92°, I 36; 38.45°, I 43; 40.69°, I 41

Structural model:
```
data_Rb5Zn2Bi4
_symmetry_space_group_name_H-M 'P 1'
_symmetry_Int_Tables_number 1
_symmetry_space_group_name_Hall 'P 1'
_cell_length_a 11.666
_cell_length_b 11.666
_cell_length_c 9.693
_cell_angle_alpha 97.32
_cell_angle_beta 97.32
_cell_angle_gamma 23.16
loop_
_atom_site_label
_atom_site_type_symbol
_atom_site_fract_x
_atom_site_fract_y
_atom_site_fract_z
Rb1 Rb 0.000 0.000 0.000
Rb2 Rb 0.334 0.334 0.010
Rb3 Rb 0.346 0.346 0.555
Rb4 Rb 0.654 0.654 0.445
Rb5 Rb 0.666 0.666 0.990
Zn1 Zn 0.087 0.087 0.693
Zn2 Zn 0.913 0.913 0.307
Bi1 Bi 0.206 0.206 0.732
Bi2 Bi 0.484 0.484 0.334
Bi3 Bi 0.516 0.516 0.666
Bi4 Bi 0.794 0.794 0.268
```


Structure and computed powder diffraction line list of Rb3ZnBi (a GGA-PBE-relaxed structure; Cu Kα).
Peak positions follow from Bragg's law for the DFT cell and can differ from measured ones.

Peak list (10 most intense, 10° ≤ 2θ ≤ 90°, low angle first)
11.71°, I 29; 12.06°, I 48; 18.95°, I 28; 23.56°, I 100; 24.25°, I 83; 24.43°, I 83; 29.38°, I 69; 38.44°, I 77; 42.82°, I 35; 49.69°, I 28

Structural model:
```
data_Rb3ZnBi
_symmetry_space_group_name_H-M 'P 1'
_symmetry_Int_Tables_number 1
_symmetry_space_group_name_Hall 'P 1'
_cell_length_a 9.536
_cell_length_b 9.536
_cell_length_c 9.536
_cell_angle_alpha 79.33
_cell_angle_beta 124.93
_cell_angle_gamma 127.77
loop_
_atom_site_label
_atom_site_type_symbol
_atom_site_fract_x
_atom_site_fract_y
_atom_site_fract_z
Rb1 Rb 0.249 0.013 0.262
Rb2 Rb 0.249 0.487 0.736
Rb3 Rb 0.656 0.997 0.159
Rb4 Rb 0.751 0.513 0.264
Rb5 Rb 0.751 0.987 0.738
Rb6 Rb 0.838 0.497 0.841
Zn1 Zn 0.247 0.247 0.500
Zn2 Zn 0.747 0.747 0.500
Bi1 Bi 0.198 0.997 0.701
Bi2 Bi 0.296 0.497 0.299
```